1.
The following is a calculated powder X-ray diffraction pattern of TbTh3. It was derived from the PBE geometry in the Materials Project, using λ = 1.5418 Å (Cu Kα).
Kinematic intensities with the Lorentz-polarization factor, no thermal factor.

Most intense lines, 5 to 70 degrees two-theta, in order of falling intensity:
- 2θ 30.7, d 2.912, I = 100
- 2θ 35.6, d 2.521, I = 51
- 2θ 60.9, d 1.520, I = 44
- 2θ 51.2, d 1.783, I = 37
- 2θ 64.0, d 1.456, I = 13
- 2θ 17.6, d 5.043, I = 2
- 2θ 25.0, d 3.566, I = 2
- 2θ 40.0, d 2.255, I = 1

Atomic structure:
Cell: 5.0429 5.0429 5.0429 Å, 90.00 90.00 90.00°
Atoms (fractional coordinates):
Tb  0.0000  0.0000  0.0000
Th  0.0000  0.5000  0.5000
Th  0.5000  0.0000  0.5000
Th  0.5000  0.5000  0.0000

2.
The following is a calculated powder X-ray diffraction pattern of TbTh. It was derived from the PBE geometry in the Materials Project, using λ = 1.5418 Å (Cu Kα).
Kinematic intensities with the Lorentz-polarization factor, no thermal factor.

Most intense lines, 5 to 70 degrees two-theta, in order of falling intensity:
- 2θ 30.8, d 2.903, I = 100
- 2θ 35.7, d 2.516, I = 68
- 2θ 61.1, d 1.517, I = 44
- 2θ 30.7, d 2.913, I = 34
- 2θ 51.3, d 1.782, I = 25
- 2θ 51.4, d 1.777, I = 24
- 2θ 61.0, d 1.520, I = 15
- 2θ 64.2, d 1.452, I = 13

Atomic structure:
Cell: 3.5542 3.5542 17.4805 Å, 90.00 90.00 120.00°
Atoms (fractional coordinates):
Tb  0.0000  0.0000  0.0000
Tb  0.3333  0.6667  0.6667
Tb  0.6667  0.3333  0.3333
Th  0.0000  0.0000  0.5000
Th  0.3333  0.6667  0.1667
Th  0.6667  0.3333  0.8333

3.
The following is a calculated powder X-ray diffraction pattern of TbTl. It was derived from the PBE geometry in the Materials Project, using λ = 1.5418 Å (Cu Kα).
Kinematic intensities with the Lorentz-polarization factor, no thermal factor.

Most intense lines, 5 to 70 degrees two-theta, in order of falling intensity:
- 2θ 33.2, d 2.699, I = 100
- 2θ 59.3, d 1.558, I = 39
- 2θ 47.7, d 1.908, I = 18
- 2θ 69.7, d 1.349, I = 12
- 2θ 23.3, d 3.816, I = 2
- 2θ 53.7, d 1.707, I = 1
- 2θ 41.0, d 2.203, I = 1

Atomic structure:
Cell: 3.8163 3.8163 3.8163 Å, 90.00 90.00 90.00°
Atoms (fractional coordinates):
Tb  0.0000  0.0000  0.0000
Tl  0.5000  0.5000  0.5000

4.
The following is a calculated powder X-ray diffraction pattern of Tb5Tl3. It was derived from the PBE geometry in the Materials Project, using λ = 1.5418 Å (Cu Kα).
Kinematic intensities with the Lorentz-polarization factor, no thermal factor.

Most intense lines, 5 to 70 degrees two-theta, in order of falling intensity:
- 2θ 33.0, d 2.716, I = 100
- 2θ 33.3, d 2.689, I = 65
- 2θ 34.2, d 2.623, I = 30
- 2θ 51.3, d 1.781, I = 29
- 2θ 30.0, d 2.974, I = 26
- 2θ 26.7, d 3.336, I = 22
- 2θ 65.6, d 1.423, I = 22
- 2θ 43.6, d 2.074, I = 18

Atomic structure:
Cell: 9.0863 9.0863 6.6714 Å, 90.00 90.00 120.00°
Atoms (fractional coordinates):
Tb  0.0000  0.2348  0.2500
Tb  0.0000  0.7652  0.7500
Tb  0.2348  0.0000  0.2500
Tb  0.2348  0.2348  0.7500
Tb  0.3333  0.6667  0.0000
Tb  0.3333  0.6667  0.5000
Tb  0.6667  0.3333  0.0000
Tb  0.6667  0.3333  0.5000
Tb  0.7652  0.0000  0.7500
Tb  0.7652  0.7652  0.2500
Tl  0.0000  0.4023  0.7500
Tl  0.0000  0.5977  0.2500
Tl  0.4023  0.0000  0.7500
Tl  0.4023  0.4023  0.2500
Tl  0.5977  0.0000  0.2500
Tl  0.5977  0.5977  0.7500

5.
The following is a calculated powder X-ray diffraction pattern of Tb2Tl. It was derived from the PBE geometry in the Materials Project, using λ = 1.5418 Å (Cu Kα).
Kinematic intensities with the Lorentz-polarization factor, no thermal factor.

Most intense lines, 5 to 70 degrees two-theta, in order of falling intensity:
- 2θ 32.9, d 2.719, I = 100
- 2θ 32.6, d 2.747, I = 88
- 2θ 58.6, d 1.575, I = 33
- 2θ 47.0, d 1.932, I = 32
- 2θ 64.9, d 1.436, I = 29
- 2θ 58.8, d 1.570, I = 19
- 2θ 42.7, d 2.119, I = 15
- 2θ 69.1, d 1.359, I = 12

Atomic structure:
Cell: 5.4379 5.4379 6.7637 Å, 90.00 90.00 120.00°
Atoms (fractional coordinates):
Tb  0.0000  0.0000  0.0000
Tb  0.0000  0.0000  0.5000
Tb  0.3333  0.6667  0.2500
Tb  0.6667  0.3333  0.7500
Tl  0.3333  0.6667  0.7500
Tl  0.6667  0.3333  0.2500

6.
The following is a calculated powder X-ray diffraction pattern of Tb5Tl3. It was derived from the PBE geometry in the Materials Project, using λ = 1.5418 Å (Cu Kα).
Kinematic intensities with the Lorentz-polarization factor, no thermal factor.

Most intense lines, 5 to 70 degrees two-theta, in order of falling intensity:
- 2θ 33.5, d 2.675, I = 100
- 2θ 32.8, d 2.731, I = 63
- 2θ 32.3, d 2.775, I = 57
- 2θ 30.0, d 2.976, I = 46
- 2θ 35.5, d 2.526, I = 33
- 2θ 53.9, d 1.700, I = 26
- 2θ 62.4, d 1.488, I = 23
- 2θ 42.4, d 2.131, I = 21

Atomic structure:
Cell: 9.1811 9.1811 9.1811 Å, 96.61 96.61 140.34°
Atoms (fractional coordinates):
Tb  0.0828  0.7829  0.8657
Tb  0.2171  0.0828  0.2999
Tb  0.2500  0.7500  0.5000
Tb  0.2829  0.5828  0.8657
Tb  0.4172  0.2829  0.7001
Tb  0.5828  0.7171  0.2999
Tb  0.7171  0.4172  0.1343
Tb  0.7500  0.2500  0.5000
Tb  0.7829  0.9172  0.7001
Tb  0.9172  0.2171  0.1343
Tl  0.1614  0.3386  0.5000
Tl  0.2500  0.2500  0.0000
Tl  0.3386  0.8386  0.1772
Tl  0.6614  0.1614  0.8228
Tl  0.7500  0.7500  0.0000
Tl  0.8386  0.6614  0.5000

7.
The following is a calculated powder X-ray diffraction pattern of Tb5Tl3. It was derived from the PBE geometry in the Materials Project, using λ = 1.5418 Å (Cu Kα).
Kinematic intensities with the Lorentz-polarization factor, no thermal factor.

Most intense lines, 5 to 70 degrees two-theta, in order of falling intensity:
- 2θ 30.8, d 2.902, I = 100
- 2θ 35.1, d 2.560, I = 51
- 2θ 33.1, d 2.707, I = 21
- 2θ 50.1, d 1.820, I = 15
- 2θ 64.9, d 1.436, I = 15
- 2θ 37.0, d 2.428, I = 10
- 2θ 62.6, d 1.484, I = 10
- 2θ 29.1, d 3.072, I = 10

Atomic structure:
Cell: 9.2632 9.2632 9.2632 Å, 128.18 128.18 76.34°
Atoms (fractional coordinates):
Tb  0.0000  0.0000  0.0000
Tb  0.0111  0.5111  0.8242
Tb  0.1868  0.0111  0.5000
Tb  0.3132  0.8132  0.8242
Tb  0.4889  0.3132  0.5000
Tb  0.5000  0.5000  0.0000
Tb  0.5111  0.6868  0.5000
Tb  0.6868  0.1868  0.1758
Tb  0.8132  0.9889  0.5000
Tb  0.9889  0.4889  0.1758
Tl  0.1337  0.3663  0.5000
Tl  0.2500  0.2500  0.0000
Tl  0.3663  0.8663  0.2326
Tl  0.6337  0.1337  0.7674
Tl  0.7500  0.7500  0.0000
Tl  0.8663  0.6337  0.5000

8.
The following is a calculated powder X-ray diffraction pattern of TbTl3. It was derived from the PBE geometry in the Materials Project, using λ = 1.5418 Å (Cu Kα).
Kinematic intensities with the Lorentz-polarization factor, no thermal factor.

Most intense lines, 5 to 70 degrees two-theta, in order of falling intensity:
- 2θ 32.4, d 2.763, I = 100
- 2θ 37.6, d 2.393, I = 51
- 2θ 64.6, d 1.443, I = 42
- 2θ 54.2, d 1.692, I = 36
- 2θ 67.8, d 1.381, I = 12
- 2θ 18.5, d 4.786, I = 1
- 2θ 26.3, d 3.384, I = 1

Atomic structure:
Cell: 4.7857 4.7857 4.7857 Å, 90.00 90.00 90.00°
Atoms (fractional coordinates):
Tb  0.0000  0.0000  0.0000
Tl  0.0000  0.5000  0.5000
Tl  0.5000  0.0000  0.5000
Tl  0.5000  0.5000  0.0000

9.
The following is a calculated powder X-ray diffraction pattern of Tb3Tm. It was derived from the PBE geometry in the Materials Project, using λ = 1.5418 Å (Cu Kα).
Kinematic intensities with the Lorentz-polarization factor, no thermal factor.

Most intense lines, 5 to 70 degrees two-theta, in order of falling intensity:
- 2θ 30.9, d 2.890, I = 100
- 2θ 35.9, d 2.503, I = 51
- 2θ 61.4, d 1.509, I = 43
- 2θ 51.7, d 1.770, I = 36
- 2θ 64.5, d 1.445, I = 12

Atomic structure:
Cell: 5.0050 5.0050 5.0050 Å, 90.00 90.00 90.00°
Atoms (fractional coordinates):
Tb  0.0000  0.0000  0.5000
Tb  0.0000  0.5000  0.0000
Tb  0.5000  0.0000  0.0000
Tm  0.5000  0.5000  0.5000

10.
The following is a calculated powder X-ray diffraction pattern of Tb3Tm. It was derived from the PBE geometry in the Materials Project, using λ = 1.5418 Å (Cu Kα).
Kinematic intensities with the Lorentz-polarization factor, no thermal factor.

Most intense lines, 5 to 70 degrees two-theta, in order of falling intensity:
- 2θ 30.9, d 2.893, I = 100
- 2θ 51.6, d 1.772, I = 36
- 2θ 35.9, d 2.503, I = 34
- 2θ 61.4, d 1.510, I = 28
- 2θ 35.8, d 2.511, I = 17
- 2θ 61.3, d 1.513, I = 14
- 2θ 64.4, d 1.447, I = 12

Atomic structure:
Cell: 5.0060 5.0060 10.0438 Å, 90.00 90.00 90.00°
Atoms (fractional coordinates):
Tb  0.0000  0.0000  0.0000
Tb  0.0000  0.5000  0.2500
Tb  0.0000  0.5000  0.7500
Tb  0.5000  0.0000  0.2500
Tb  0.5000  0.0000  0.7500
Tb  0.5000  0.5000  0.5000
Tm  0.0000  0.0000  0.5000
Tm  0.5000  0.5000  0.0000

11.
The following is a calculated powder X-ray diffraction pattern of Tb3V. It was derived from the PBE geometry in the Materials Project, using λ = 1.5418 Å (Cu Kα).
Kinematic intensities with the Lorentz-polarization factor, no thermal factor.

Most intense lines, 5 to 70 degrees two-theta, in order of falling intensity:
- 2θ 33.3, d 2.690, I = 100
- 2θ 59.5, d 1.553, I = 37
- 2θ 47.8, d 1.902, I = 18
- 2θ 70.0, d 1.345, I = 11
- 2θ 20.2, d 4.392, I = 9
- 2θ 39.3, d 2.294, I = 5
- 2θ 23.4, d 3.804, I = 5
- 2θ 52.4, d 1.745, I = 2

Atomic structure:
Cell: 7.6078 7.6078 7.6078 Å, 90.00 90.00 90.00°
Atoms (fractional coordinates):
Tb  0.0000  0.0000  0.0000
Tb  0.0000  0.5000  0.5000
Tb  0.2500  0.2500  0.2500
Tb  0.2500  0.2500  0.7500
Tb  0.2500  0.7500  0.2500
Tb  0.2500  0.7500  0.7500
Tb  0.5000  0.0000  0.5000
Tb  0.5000  0.5000  0.0000
Tb  0.7500  0.2500  0.2500
Tb  0.7500  0.2500  0.7500
Tb  0.7500  0.7500  0.2500
Tb  0.7500  0.7500  0.7500
V  0.0000  0.0000  0.5000
V  0.0000  0.5000  0.0000
V  0.5000  0.0000  0.0000
V  0.5000  0.5000  0.5000

12.
The following is a calculated powder X-ray diffraction pattern of Tb3Y. It was derived from the PBE geometry in the Materials Project, using λ = 1.5418 Å (Cu Kα).
Kinematic intensities with the Lorentz-polarization factor, no thermal factor.

Most intense lines, 5 to 70 degrees two-theta, in order of falling intensity:
- 2θ 30.8, d 2.907, I = 100
- 2θ 35.7, d 2.517, I = 51
- 2θ 61.0, d 1.518, I = 42
- 2θ 51.3, d 1.780, I = 36
- 2θ 64.1, d 1.453, I = 12
- 2θ 17.6, d 5.035, I = 4
- 2θ 25.0, d 3.560, I = 3
- 2θ 40.0, d 2.252, I = 2

Atomic structure:
Cell: 5.0348 5.0348 5.0348 Å, 90.00 90.00 90.00°
Atoms (fractional coordinates):
Tb  0.0000  0.0000  0.5000
Tb  0.0000  0.5000  0.0000
Tb  0.5000  0.0000  0.0000
Y  0.5000  0.5000  0.5000

13.
The following is a calculated powder X-ray diffraction pattern of Tb3Y. It was derived from the PBE geometry in the Materials Project, using λ = 1.5418 Å (Cu Kα).
Kinematic intensities with the Lorentz-polarization factor, no thermal factor.

Most intense lines, 5 to 70 degrees two-theta, in order of falling intensity:
- 2θ 30.7, d 2.912, I = 100
- 2θ 35.6, d 2.522, I = 51
- 2θ 60.9, d 1.521, I = 42
- 2θ 51.2, d 1.783, I = 36
- 2θ 63.9, d 1.456, I = 12
- 2θ 19.7, d 4.512, I = 4
- 2θ 41.0, d 2.202, I = 1
- 2θ 17.6, d 5.040, I = 1

Atomic structure:
Cell: 5.0461 5.0461 10.0806 Å, 90.00 90.00 90.00°
Atoms (fractional coordinates):
Tb  0.0000  0.0000  0.0000
Tb  0.0000  0.5000  0.2500
Tb  0.0000  0.5000  0.7500
Tb  0.5000  0.0000  0.2500
Tb  0.5000  0.0000  0.7500
Tb  0.5000  0.5000  0.5000
Y  0.0000  0.0000  0.5000
Y  0.5000  0.5000  0.0000

14.
The following is a calculated powder X-ray diffraction pattern of TbZn3. It was derived from the PBE geometry in the Materials Project, using λ = 1.5418 Å (Cu Kα).
Kinematic intensities with the Lorentz-polarization factor, no thermal factor.

Most intense lines, 5 to 70 degrees two-theta, in order of falling intensity:
- 2θ 36.1, d 2.487, I = 100
- 2θ 34.8, d 2.575, I = 84
- 2θ 40.9, d 2.207, I = 42
- 2θ 38.0, d 2.365, I = 23
- 2θ 44.5, d 2.037, I = 19
- 2θ 43.3, d 2.090, I = 18
- 2θ 22.0, d 4.039, I = 16
- 2θ 35.5, d 2.529, I = 15

Atomic structure:
Cell: 6.6758 4.4147 10.1171 Å, 90.00 90.00 90.00°
Atoms (fractional coordinates):
Tb  0.2203  0.2500  0.1625
Tb  0.2797  0.7500  0.6625
Tb  0.7203  0.2500  0.3375
Tb  0.7797  0.7500  0.8375
Zn  0.0362  0.7500  0.3963
Zn  0.0825  0.2500  0.8519
Zn  0.2168  0.7500  0.9569
Zn  0.2832  0.2500  0.4569
Zn  0.4175  0.7500  0.3519
Zn  0.4638  0.2500  0.8963
Zn  0.5362  0.7500  0.1037
Zn  0.5825  0.2500  0.6481
Zn  0.7168  0.7500  0.5431
Zn  0.7832  0.2500  0.0431
Zn  0.9175  0.7500  0.1481
Zn  0.9638  0.2500  0.6037